# 1
# Ti6MnPd8
Computed X-ray diffraction stick pattern, Cu Ka. Input: DFT lattice parameters and positions (GGA-PBE).
No peak broadening, texture or thermal motion is included.

Structure:
a = 10.0267 Å, b = 10.0267 Å, c = 2.8578 Å
α = 90.00°, β = 90.00°, γ = 120.00°
Element x y z (fractional)
Ti  0.0980  0.4660  0.2418
Ti  0.3679  0.9020  0.2418
Ti  0.4660  0.3679  0.7582
Ti  0.5340  0.6321  0.2418
Ti  0.6321  0.0980  0.7582
Ti  0.9020  0.5340  0.7582
Mn  0.0000  0.0000  0.0000
Pd  0.0757  0.7896  0.2734
Pd  0.2104  0.2861  0.2734
Pd  0.2861  0.0757  0.7266
Pd  0.3333  0.6667  0.7398
Pd  0.6667  0.3333  0.2602
Pd  0.7139  0.9243  0.2734
Pd  0.7896  0.7139  0.7266
Pd  0.9243  0.2104  0.7266

Largest 8 diffraction maxima, by angle, 10 to 80 degrees two-theta:
4.342 Å, 2θ = 20.46°, I 26; 2.507 Å, 2θ = 35.82°, I 20; 2.408 Å, 2θ = 37.34°, I 81; 2.387 Å, 2θ = 37.68°, I 100; 2.155 Å, 2θ = 41.92°, I 77; 1.992 Å, 2θ = 45.53°, I 24; 1.895 Å, 2θ = 48.01°, I 33; 1.634 Å, 2θ = 56.29°, I 29

***

# 2
# Ti3Mn2Pd
Computed X-ray diffraction stick pattern, Cu Ka. Input: DFT lattice parameters and positions (GGA-PBE).
No peak broadening, texture or thermal motion is included.

Structure:
a = 3.0235 Å, b = 3.0235 Å, c = 9.1951 Å
α = 90.00°, β = 90.00°, γ = 90.00°
Element x y z (fractional)
Ti  0.0000  0.0000  0.0000
Ti  0.0000  0.0000  0.3120
Ti  0.0000  0.0000  0.6880
Mn  0.5000  0.5000  0.1660
Mn  0.5000  0.5000  0.8340
Pd  0.5000  0.5000  0.5000

Largest 8 diffraction maxima, by angle, 10 to 80 degrees two-theta:
2.872 Å, 2θ = 31.14°, I 7; 2.526 Å, 2θ = 35.54°, I 7; 2.152 Å, 2θ = 41.97°, I 100; 2.138 Å, 2θ = 42.27°, I 51; 1.533 Å, 2θ = 60.40°, I 7; 1.512 Å, 2θ = 61.32°, I 16; 1.246 Å, 2θ = 76.48°, I 13; 1.237 Å, 2θ = 77.09°, I 29

***

# 3
# TiMnPd6
Computed X-ray diffraction stick pattern, Cu Ka. Input: DFT lattice parameters and positions (GGA-PBE).
No peak broadening, texture or thermal motion is included.

Structure:
a = 3.9192 Å, b = 3.9192 Å, c = 7.8666 Å
α = 90.00°, β = 90.00°, γ = 90.00°
Element x y z (fractional)
Ti  0.0000  0.0000  0.0000
Mn  0.0000  0.0000  0.5000
Pd  0.0000  0.5000  0.2464
Pd  0.0000  0.5000  0.7536
Pd  0.5000  0.0000  0.2464
Pd  0.5000  0.0000  0.7536
Pd  0.5000  0.5000  0.0000
Pd  0.5000  0.5000  0.5000

Largest 8 diffraction maxima, by angle, 10 to 80 degrees two-theta:
3.924 Å, 2θ = 22.66°, I 7; 2.775 Å, 2θ = 32.26°, I 6; 2.265 Å, 2θ = 39.79°, I 100; 1.967 Å, 2θ = 46.16°, I 16; 1.960 Å, 2θ = 46.33°, I 32; 1.753 Å, 2θ = 52.17°, I 2; 1.388 Å, 2θ = 67.47°, I 20; 1.386 Å, 2θ = 67.61°, I 10

***

# 4
# MnTl6Pd12
Computed X-ray diffraction stick pattern, Cu Ka. Input: DFT lattice parameters and positions (GGA-PBE).
No peak broadening, texture or thermal motion is included.

Structure:
a = 7.5112 Å, b = 7.5112 Å, c = 7.5112 Å
α = 106.60°, β = 106.60°, γ = 106.60°
Element x y z (fractional)
Mn  0.0000  0.0000  0.0000
Tl  0.0987  0.4679  0.2104
Tl  0.2104  0.0987  0.4679
Tl  0.4679  0.2104  0.0987
Tl  0.5321  0.7896  0.9013
Tl  0.7896  0.9013  0.5321
Tl  0.9013  0.5321  0.7896
Pd  0.1308  0.2617  0.8439
Pd  0.1561  0.8692  0.7383
Pd  0.1781  0.4807  0.6025
Pd  0.2617  0.8439  0.1308
Pd  0.3975  0.8219  0.5193
Pd  0.4807  0.6025  0.1781
Pd  0.5193  0.3975  0.8219
Pd  0.6025  0.1781  0.4807
Pd  0.7383  0.1561  0.8692
Pd  0.8219  0.5193  0.3975
Pd  0.8439  0.1308  0.2617
Pd  0.8692  0.7383  0.1561

Largest 8 diffraction maxima, by angle, 10 to 80 degrees two-theta:
3.578 Å, 2θ = 24.89°, I 16; 3.477 Å, 2θ = 25.62°, I 26; 2.568 Å, 2θ = 34.94°, I 41; 2.276 Å, 2θ = 39.59°, I 100; 2.199 Å, 2θ = 41.05°, I 58; 2.066 Å, 2θ = 43.83°, I 48; 1.440 Å, 2θ = 64.76°, I 27; 1.204 Å, 2θ = 79.59°, I 23

***

# 5
# TmMnPd6
Computed X-ray diffraction stick pattern, Cu Ka. Input: DFT lattice parameters and positions (GGA-PBE).
No peak broadening, texture or thermal motion is included.

Structure:
a = 4.0206 Å, b = 4.0206 Å, c = 7.9927 Å
α = 90.00°, β = 90.00°, γ = 90.00°
Element x y z (fractional)
Tm  0.0000  0.0000  0.0000
Mn  0.0000  0.0000  0.5000
Pd  0.0000  0.5000  0.2613
Pd  0.0000  0.5000  0.7387
Pd  0.5000  0.0000  0.2613
Pd  0.5000  0.0000  0.7387
Pd  0.5000  0.5000  0.0000
Pd  0.5000  0.5000  0.5000

Largest 8 diffraction maxima, by angle, 10 to 80 degrees two-theta:
3.592 Å, 2θ = 24.79°, I 5; 2.317 Å, 2θ = 38.88°, I 100; 2.010 Å, 2θ = 45.10°, I 33; 1.998 Å, 2θ = 45.39°, I 16; 1.421 Å, 2θ = 65.69°, I 10; 1.417 Å, 2θ = 65.91°, I 20; 1.212 Å, 2θ = 79.03°, I 24; 1.206 Å, 2θ = 79.45°, I 11

***

# 6
# UMn2Pd8
Computed X-ray diffraction stick pattern, Cu Ka. Input: DFT lattice parameters and positions (GGA-PBE).
No peak broadening, texture or thermal motion is included.

Structure:
a = 7.3777 Å, b = 7.3777 Å, c = 6.3417 Å
α = 106.33°, β = 106.33°, γ = 32.39°
Element x y z (fractional)
U  0.0000  0.0000  0.0000
Mn  0.2766  0.2766  0.3495
Mn  0.7234  0.7234  0.6505
Pd  0.0989  0.0989  0.4556
Pd  0.1800  0.1800  0.9185
Pd  0.3551  0.3551  0.7999
Pd  0.4562  0.4562  0.2703
Pd  0.5438  0.5438  0.7297
Pd  0.6449  0.6449  0.2001
Pd  0.8200  0.8200  0.0815
Pd  0.9011  0.9011  0.5444

Largest 8 diffraction maxima, by angle, 10 to 80 degrees two-theta:
6.774 Å, 2θ = 13.07°, I 8; 2.311 Å, 2θ = 38.97°, I 100; 2.058 Å, 2θ = 44.01°, I 18; 2.015 Å, 2θ = 45.00°, I 16; 1.939 Å, 2θ = 46.86°, I 14; 1.439 Å, 2θ = 64.76°, I 11; 1.411 Å, 2θ = 66.24°, I 10; 1.231 Å, 2θ = 77.53°, I 13

***

# 7
# MnV6Pd12
Computed X-ray diffraction stick pattern, Cu Ka. Input: DFT lattice parameters and positions (GGA-PBE).
No peak broadening, texture or thermal motion is included.

Structure:
a = 6.5597 Å, b = 6.5597 Å, c = 6.5597 Å
α = 88.15°, β = 88.15°, γ = 88.15°
Element x y z (fractional)
Mn  0.0000  0.0000  0.0000
V  0.1101  0.7463  0.2666
V  0.2537  0.7334  0.8899
V  0.2666  0.1101  0.7463
V  0.7334  0.8899  0.2537
V  0.7463  0.2666  0.1101
V  0.8899  0.2537  0.7334
Pd  0.0261  0.1527  0.3679
Pd  0.1527  0.3679  0.0261
Pd  0.1983  0.4680  0.5693
Pd  0.3679  0.0261  0.1527
Pd  0.4307  0.8017  0.5320
Pd  0.4680  0.5693  0.1983
Pd  0.5320  0.4307  0.8017
Pd  0.5693  0.1983  0.4680
Pd  0.6321  0.9739  0.8473
Pd  0.8017  0.5320  0.4307
Pd  0.8473  0.6321  0.9739
Pd  0.9739  0.8473  0.6321

Largest 8 diffraction maxima, by angle, 10 to 80 degrees two-theta:
2.895 Å, 2θ = 30.89°, I 46; 2.248 Å, 2θ = 40.12°, I 62; 2.184 Å, 2θ = 41.33°, I 55; 2.155 Å, 2θ = 41.93°, I 100; 2.092 Å, 2θ = 43.25°, I 91; 2.053 Å, 2θ = 44.11°, I 47; 1.970 Å, 2θ = 46.07°, I 21; 1.204 Å, 2θ = 79.63°, I 18

***

# 8
# MnV2Pd6
Computed X-ray diffraction stick pattern, Cu Ka. Input: DFT lattice parameters and positions (GGA-PBE).
No peak broadening, texture or thermal motion is included.

Structure:
a = 4.7498 Å, b = 4.7498 Å, c = 8.2151 Å
α = 106.05°, β = 106.05°, γ = 48.47°
Element x y z (fractional)
Mn  0.0000  0.0000  0.0000
V  0.3275  0.3275  0.7695
V  0.6725  0.6725  0.2305
Pd  0.0008  0.0008  0.3197
Pd  0.3317  0.3317  0.4414
Pd  0.3356  0.3356  0.1027
Pd  0.6644  0.6644  0.8973
Pd  0.6683  0.6683  0.5586
Pd  0.9992  0.9992  0.6803

Largest 8 diffraction maxima, by angle, 10 to 80 degrees two-theta:
2.248 Å, 2θ = 40.11°, I 100; 2.241 Å, 2θ = 40.25°, I 96; 1.954 Å, 2θ = 46.47°, I 32; 1.950 Å, 2θ = 46.59°, I 32; 1.928 Å, 2θ = 47.14°, I 30; 1.380 Å, 2θ = 67.91°, I 20; 1.376 Å, 2θ = 68.16°, I 10; 1.370 Å, 2θ = 68.47°, I 28